(1)
This entry pairs a crystal structure of ThNbFe2H6 with its calculated powder diffraction line list. Radiation: Cu Ka. Structure: the GGA-PBE geometry in Alexandria.
Peak positions follow from Bragg's law for the DFT cell and can differ from measured ones.

Lattice parameters (Å, degrees): 5.8741 5.8741 5.8741 43.87 43.87 43.87
Fractional coordinates of all 10 atoms:
Th: 0.0000 0.0000 0.0000
Nb: 0.5000 0.5000 0.5000
Fe: 0.2077 0.2077 0.2077
Fe: 0.7923 0.7923 0.7923
H: 0.0783 0.5599 0.5599
H: 0.4401 0.4401 0.9217
H: 0.4401 0.9217 0.4401
H: 0.5599 0.0783 0.5599
H: 0.5599 0.5599 0.0783
H: 0.9217 0.4401 0.4401

Most intense lines, 15 to 90 degrees two-theta, by angle:
Position (°2θ)  Rel. int.
24.1  35
26.0  57
32.6  100
33.8  21
36.9  30
41.1  70
53.4  25
54.3  35
63.4  18
69.6  23

=====

(2)
This entry pairs a crystal structure of NdFeH5 with its calculated powder diffraction line list. Radiation: Cu Ka. Structure: the GGA-PBE geometry in Alexandria.
Peak positions follow from Bragg's law for the DFT cell and can differ from measured ones.

Lattice parameters (Å, degrees): 3.5875 4.8783 6.7146 90.00 90.00 90.00
Fractional coordinates of all 14 atoms:
Nd: 0.0000 0.0000 0.0000
Nd: 0.5000 0.5000 0.5000
Fe: 0.0000 0.0000 0.5000
Fe: 0.5000 0.5000 0.0000
H: 0.0000 0.2361 0.3382
H: 0.0000 0.2361 0.6618
H: 0.0000 0.5000 0.0000
H: 0.0000 0.7639 0.3382
H: 0.0000 0.7639 0.6618
H: 0.5000 0.0000 0.5000
H: 0.5000 0.2639 0.1618
H: 0.5000 0.2639 0.8382
H: 0.5000 0.7361 0.1618
H: 0.5000 0.7361 0.8382

Most intense lines, 15 to 90 degrees two-theta, by angle:
Position (°2θ)  Rel. int.
22.5  36
26.6  74
28.2  21
30.9  100
36.8  30
41.2  90
46.0  34
58.3  19
64.2  24
69.3  19

=====

(3)
This entry pairs a crystal structure of NdFeH6Pd with its calculated powder diffraction line list. Radiation: Cu Ka. Structure: the GGA-PBE geometry in Alexandria.
Peak positions follow from Bragg's law for the DFT cell and can differ from measured ones.

Lattice parameters (Å, degrees): 4.6068 4.6068 4.3123 90.00 90.00 120.00
Fractional coordinates of all 9 atoms:
Nd: 0.0000 0.0000 0.0000
Fe: 0.6667 0.3333 0.5000
H: 0.5181 0.0361 0.2390
H: 0.5181 0.0361 0.7610
H: 0.5181 0.4819 0.2390
H: 0.5181 0.4819 0.7610
H: 0.9639 0.4819 0.2390
H: 0.9639 0.4819 0.7610
Pd: 0.3333 0.6667 0.5000

Most intense lines, 15 to 90 degrees two-theta, by angle:
Position (°2θ)  Rel. int.
22.3  10
30.5  100
39.1  45
41.9  12
50.4  24
58.6  28
65.6  22
69.5  9
70.9  8
85.9  9

=====

(4)
This entry pairs a crystal structure of Nd2FeH6Pd with its calculated powder diffraction line list. Radiation: Cu Ka. Structure: the GGA-PBE geometry in Alexandria.
Peak positions follow from Bragg's law for the DFT cell and can differ from measured ones.

Lattice parameters (Å, degrees): 5.2233 5.2233 5.2233 119.81 119.81 90.33
Fractional coordinates of all 10 atoms:
Nd: 0.2500 0.7500 0.5000
Nd: 0.7500 0.2500 0.5000
Fe: 0.0000 0.0000 0.0000
H: 0.2261 0.2261 0.0000
H: 0.2256 0.2256 0.4511
H: 0.2256 0.7744 0.0000
H: 0.7744 0.2256 0.0000
H: 0.7739 0.7739 0.0000
H: 0.7744 0.7744 0.5489
Pd: 0.5000 0.5000 0.0000

Most intense lines, 15 to 90 degrees two-theta, by angle:
Position (°2θ)  Rel. int.
24.0  8
34.2  50
34.3  100
49.2  19
49.5  9
61.4  37
61.6  18
72.4  11
82.3  16
82.8  8

=====

(5)
This entry pairs a crystal structure of Nd2Fe15Si2H2 with its calculated powder diffraction line list. Radiation: Cu Ka. Structure: the GGA-PBE geometry in Alexandria.
Peak positions follow from Bragg's law for the DFT cell and can differ from measured ones.

Lattice parameters (Å, degrees): 6.4248 6.4248 6.4247 97.50 97.50 83.06
Fractional coordinates of all 21 atoms:
Nd: 0.1531 0.1531 0.3497
Nd: 0.8469 0.8469 0.6503
Fe: 0.0000 0.5000 0.0000
Fe: 0.1583 0.6509 0.3397
Fe: 0.1645 0.1645 0.8469
Fe: 0.1995 0.8005 0.0000
Fe: 0.2214 0.5056 0.7220
Fe: 0.3491 0.8417 0.6603
Fe: 0.4944 0.7786 0.2780
Fe: 0.5000 0.0000 0.0000
Fe: 0.5000 0.5000 0.5000
Fe: 0.5056 0.2214 0.7220
Fe: 0.6509 0.1583 0.3397
Fe: 0.7786 0.4944 0.2780
Fe: 0.8005 0.1995 0.0000
Fe: 0.8355 0.8355 0.1531
Fe: 0.8417 0.3491 0.6603
Si: 0.3991 0.3991 0.1028
Si: 0.6009 0.6009 0.8972
H: 0.0000 0.5000 0.5000
H: 0.5000 0.0000 0.5000

Most intense lines, 15 to 90 degrees two-theta, by angle:
Position (°2θ)  Rel. int.
30.1  37
30.2  18
36.6  29
37.8  23
42.4  23
42.7  100
42.8  68
43.1  19
43.6  67
62.5  23

=====

(6)
This entry pairs a crystal structure of Fe2Ni5H2 with its calculated powder diffraction line list. Radiation: Cu Ka. Structure: the GGA-PBE geometry in Alexandria.
Peak positions follow from Bragg's law for the DFT cell and can differ from measured ones.

Lattice parameters (Å, degrees): 4.4617 4.4617 5.6664 96.57 96.57 47.41
Fractional coordinates of all 9 atoms:
Fe: 0.0695 0.0695 0.2063
Fe: 0.9305 0.9305 0.7937
Ni: 0.2125 0.2125 0.6461
Ni: 0.3603 0.3603 0.0697
Ni: 0.5000 0.5000 0.5000
Ni: 0.6397 0.6397 0.9303
Ni: 0.7875 0.7875 0.3539
H: 0.2975 0.2975 0.3640
H: 0.7025 0.7025 0.6360

Most intense lines, 15 to 90 degrees two-theta, by angle:
Position (°2θ)  Rel. int.
43.4  100
49.7  17
50.9  16
51.1  15
73.9  14
74.1  5
75.0  9
88.8  6
88.9  5

=====

(7)
This entry pairs a crystal structure of Fe2NiH3 with its calculated powder diffraction line list. Radiation: Cu Ka. Structure: the GGA-PBE geometry in Alexandria.
Peak positions follow from Bragg's law for the DFT cell and can differ from measured ones.

Lattice parameters (Å, degrees): 7.6391 2.6959 8.1905 90.00 90.00 90.00
Fractional coordinates of all 24 atoms:
Fe: 0.1189 0.2500 0.0894
Fe: 0.1197 0.2500 0.7642
Fe: 0.3803 0.7500 0.2642
Fe: 0.3811 0.7500 0.5894
Fe: 0.6189 0.2500 0.4106
Fe: 0.6197 0.2500 0.7358
Fe: 0.8803 0.7500 0.2358
Fe: 0.8811 0.7500 0.9106
Ni: 0.1335 0.2500 0.4119
Ni: 0.3665 0.7500 0.9119
Ni: 0.6335 0.2500 0.0881
Ni: 0.8665 0.7500 0.5881
H: 0.0098 0.7500 0.4091
H: 0.1133 0.7500 0.9016
H: 0.2442 0.2500 0.5971
H: 0.2558 0.7500 0.0971
H: 0.3867 0.2500 0.4016
H: 0.4902 0.2500 0.9091
H: 0.5098 0.7500 0.0909
H: 0.6133 0.7500 0.5984
H: 0.7442 0.2500 0.9029
H: 0.7558 0.7500 0.4029
H: 0.8867 0.2500 0.0984
H: 0.9902 0.2500 0.5909

Most intense lines, 15 to 90 degrees two-theta, by angle:
Position (°2θ)  Rel. int.
40.6  100
41.0  100
47.4  63
47.6  31
69.4  36
69.8  9
83.3  19
83.8  10
84.0  30
88.9  9

=====

(8)
This entry pairs a crystal structure of FeNi6H8 with its calculated powder diffraction line list. Radiation: Cu Ka. Structure: the GGA-PBE geometry in Alexandria.
Peak positions follow from Bragg's law for the DFT cell and can differ from measured ones.

Lattice parameters (Å, degrees): 2.5993 6.3775 6.5377 61.86 89.89 90.00
Fractional coordinates of all 15 atoms:
Fe: 0.0000 0.0000 0.0000
Ni: 0.9999 0.5515 0.0895
Ni: 0.0001 0.8171 0.6393
Ni: 0.4993 0.4066 0.8188
Ni: 0.4994 0.6818 0.3618
Ni: 0.5007 0.1338 0.2698
Ni: 0.9995 0.2669 0.5482
H: 0.0002 0.2901 0.0469
H: 0.0014 0.5262 0.5932
H: 0.4981 0.6653 0.8380
H: 0.5000 0.1586 0.7803
H: 0.4996 0.7776 0.0705
H: 0.5005 0.0197 0.5673
H: 0.5016 0.4019 0.3211
H: 0.9984 0.9016 0.3298

Most intense lines, 15 to 90 degrees two-theta, by angle:
Position (°2θ)  Rel. int.
38.3  33
41.9  100
42.7  10
43.4  40
45.0  66
47.0  30
47.1  30
70.8  11
70.9  11
85.3  13

=====

Please write out number 3 again, unchanged.
This entry pairs a crystal structure of NdFeH6Pd with its calculated powder diffraction line list. Radiation: Cu Ka. Structure: the GGA-PBE geometry in Alexandria.
Peak positions follow from Bragg's law for the DFT cell and can differ from measured ones.

Lattice parameters (Å, degrees): 4.6068 4.6068 4.3123 90.00 90.00 120.00
Fractional coordinates of all 9 atoms:
Nd: 0.0000 0.0000 0.0000
Fe: 0.6667 0.3333 0.5000
H: 0.5181 0.0361 0.2390
H: 0.5181 0.0361 0.7610
H: 0.5181 0.4819 0.2390
H: 0.5181 0.4819 0.7610
H: 0.9639 0.4819 0.2390
H: 0.9639 0.4819 0.7610
Pd: 0.3333 0.6667 0.5000

Most intense lines, 15 to 90 degrees two-theta, by angle:
Position (°2θ)  Rel. int.
22.3  10
30.5  100
39.1  45
41.9  12
50.4  24
58.6  28
65.6  22
69.5  9
70.9  8
85.9  9